For NpNi3O6, a crystal structure in Alexandria, relaxed with GGA+U gives the calculated powder XRD pattern in this record (Cu Kα).
Intensities are scaled so that the largest is 100.

```
data_NpNi3O6
_chemical_formula_sum 'Np6 Ni18 O36'
_cell_length_a 8.8258
_cell_length_b 8.8258
_cell_length_c 10.5536
_cell_angle_alpha 90.00
_cell_angle_beta 90.00
_cell_angle_gamma 120.00
_symmetry_space_group_name_H-M 'R -3'
_symmetry_Int_Tables_number 148
_symmetry_space_group_name_Hall '-R 3'
loop_
_atom_site_label
_atom_site_fract_x
_atom_site_fract_y
_atom_site_fract_z
Np1 0.0000 0.0000 0.0000
Np2 0.0000 0.0000 0.5000
Ni1 0.0448 0.7770 0.2077
O1 0.0208 0.8280 0.8774
O2 0.0257 0.8173 0.3940
```

Principal peaks in the range 10° ≤ 2θ ≤ 90°, by angle:
hkl, 2θ (°), I (rel.)
1 1 0, 20.12, 71
0 1 2, 20.45, 84
2 0 2, 28.85, 78
3 0 0, 35.23, 35
1 2 2, 35.42, 100
1 0 4, 36.01, 30
4 -1 2, 46.15, 34
3 -1 4, 46.62, 50
4 1 0, 55.06, 41
4 -3 4, 55.62, 28